Structure and calculated PXRD pattern of Er4ZrRh3 (a structure optimized by DFT (PBE); a wavelength of 1.5418 Å).

Atomic structure:
Unit cell a=8.221 b=8.221 c=8.221 alpha=97.47 beta=97.47 gamma=137.74
Atoms (fractional coordinates):
Er1 0.081 0.787 0.867
Er2 0.213 0.081 0.294
Er3 0.287 0.581 0.867
Er4 0.419 0.287 0.706
Er5 0.581 0.713 0.294
Er6 0.713 0.419 0.133
Er7 0.787 0.919 0.706
Er8 0.919 0.213 0.133
Zr1 0.250 0.750 0.500
Zr2 0.750 0.250 0.500
Rh1 0.156 0.344 0.500
Rh2 0.250 0.250 0.000
Rh3 0.344 0.844 0.188
Rh4 0.656 0.156 0.812
Rh5 0.750 0.750 0.000
Rh6 0.844 0.656 0.500

Most intense lines, 2θ from 10° to 80°, low angle first:
30.2 deg, I 345
33.4 deg, I 752
34.5 deg, I 346
37.1 deg, I 428
37.4 deg, I 1000
38.4 deg, I 368
55.7 deg, I 177
58.4 deg, I 274
68.9 deg, I 203
70.2 deg, I 136

=====

Structure and calculated PXRD pattern of ErZr3Rh4 (a structure optimized by DFT (PBE); a wavelength of 1.5418 Å).

Atomic structure:
Unit cell a=8.151 b=8.151 c=8.151 alpha=33.50 beta=33.50 gamma=33.50
Atoms (fractional coordinates):
Er1 0.000 0.000 0.000
Zr1 0.250 0.250 0.250
Zr2 0.500 0.500 0.500
Zr3 0.750 0.750 0.750
Rh1 0.129 0.129 0.129
Rh2 0.379 0.379 0.379
Rh3 0.621 0.621 0.621
Rh4 0.871 0.871 0.871

Most intense lines, 2θ from 10° to 80°, low angle first:
11.5 deg, I 8
22.2 deg, I 11
23.2 deg, I 16
29.3 deg, I 16
35.0 deg, I 12
38.3 deg, I 1000
45.2 deg, I 9
55.3 deg, I 168
69.2 deg, I 248
69.3 deg, I 85

=====

Structure and calculated PXRD pattern of ErZr3Rh6 (a structure optimized by DFT (PBE); a wavelength of 1.5418 Å).

Atomic structure:
Unit cell a=8.002 b=4.647 c=9.872 alpha=90.00 beta=107.63 gamma=90.00
Atoms (fractional coordinates):
Er1 0.062 0.250 0.393
Er2 0.938 0.750 0.607
Zr1 0.200 0.250 0.015
Zr2 0.367 0.750 0.809
Zr3 0.479 0.250 0.616
Zr4 0.521 0.750 0.384
Zr5 0.633 0.250 0.191
Zr6 0.800 0.750 0.985
Rh1 0.089 0.750 0.892
Rh2 0.144 0.750 0.194
Rh3 0.169 0.250 0.711
Rh4 0.260 0.750 0.512
Rh5 0.365 0.250 0.309
Rh6 0.448 0.750 0.094
Rh7 0.552 0.250 0.906
Rh8 0.635 0.750 0.691
Rh9 0.740 0.250 0.488
Rh10 0.831 0.750 0.289
Rh11 0.856 0.250 0.806
Rh12 0.911 0.250 0.108

Most intense lines, 2θ from 10° to 80°, low angle first:
38.4 deg, I 472
38.8 deg, I 536
39.0 deg, I 865
39.3 deg, I 1000
55.7 deg, I 321
57.4 deg, I 116
69.6 deg, I 102
70.3 deg, I 293
70.5 deg, I 168
71.4 deg, I 119